For Ca5Si2Au2, a DFT-relaxed cell (GGA-PBE, Alexandria) gives the theoretical X-ray powder pattern in this record (copper Kα).

Main lines, low angle first (5° ≤ 2θ ≤ 70°):
2θ (°), d [Å], I_rel
11.24, 7.874, 65
23.49, 3.787, 45
25.66, 3.472, 49
32.45, 2.759, 44
32.78, 2.732, 100
34.72, 2.584, 28

Atomic structure:
Lattice parameters (Å, degrees): 8.769 8.769 7.753 90.00 90.00 52.22
Sites, in units of the cell vectors:
Ca1 0.000 0.000 0.000
Ca2 0.042 0.687 0.675
Ca3 0.187 0.542 0.175
Ca4 0.313 0.958 0.675
Ca5 0.458 0.813 0.175
Ca6 0.500 0.500 0.500
Ca7 0.542 0.187 0.825
Ca8 0.687 0.042 0.325
Ca9 0.813 0.458 0.825
Ca10 0.958 0.313 0.325
Si1 0.112 0.888 0.388
Si2 0.388 0.612 0.888
Si3 0.612 0.388 0.112
Si4 0.888 0.112 0.612
Au1 0.209 0.209 0.000
Au2 0.291 0.291 0.500
Au3 0.709 0.709 0.500
Au4 0.791 0.791 0.000